Simulated X-ray powder pattern
Compound: Sc8Te4As3C
Radiation: CuKα
Structure: a PBE-relaxed structure

Main lines, in order of rising 2θ (10 to 90 degrees two-theta):
two_theta  intensity
26.70  11
27.83  20
31.96  100
34.77  12
45.19  32
46.45  34
54.45  11
57.49  17
75.05  11
76.91  13

Cell and atoms:
Unit cell a=8.031 b=8.031 c=8.031 alpha=58.27 beta=58.27 gamma=58.27
Fractional positions:
Sc  0.238  0.238  0.238
Sc  0.266  0.716  0.716
Sc  0.284  0.284  0.734
Sc  0.284  0.734  0.284
Sc  0.716  0.266  0.716
Sc  0.716  0.716  0.266
Sc  0.734  0.284  0.284
Sc  0.762  0.762  0.762
Te  0.000  0.000  0.000
Te  0.000  0.500  0.500
Te  0.500  0.000  0.500
Te  0.500  0.500  0.000
As  0.000  0.000  0.500
As  0.000  0.500  0.000
As  0.500  0.000  0.000
C  0.500  0.500  0.500